The following is a theoretical X-ray diffraction stick pattern of Mg2TiCr3S8. It was derived from a crystal structure in Alexandria, relaxed with PBE, using Cu Ka.
Kinematic intensities with the Lorentz-polarization factor, no thermal factor.

Crystal structure
```
14
Lattice="3.638 2.100 5.884 -3.638 2.100 5.884 0.000 -4.200 5.884" Properties=species:S:1:pos:R:3 pbc="T T T"
Mg 0.000 0.000 2.198
Mg 0.000 0.000 15.453
Ti 0.000 0.000 8.825
Cr -1.819 -1.050 5.884
Cr -1.819 1.050 11.767
Cr 0.000 2.100 5.884
S 0.000 -1.907 7.251
S -1.652 0.954 7.251
S 0.000 0.000 4.645
S -1.652 -0.954 10.399
S 1.652 0.954 7.251
S 0.000 0.000 13.006
S 1.652 -0.954 10.399
S 0.000 1.907 10.399
```

Largest 6 diffraction maxima, by angle, 10 to 80 degrees two-theta:
| 2theta | I_rel |
| --- | --- |
| 14.9 | 47.8 |
| 28.8 | 53.2 |
| 35.0 | 100.0 |
| 45.9 | 32.5 |
| 50.2 | 48.9 |
| 50.5 | 46.4 |